For LiMnF3, DFT lattice parameters and positions (GGA+U) gives the simulated X-ray powder pattern in this record (CuKα).
Intensities are scaled so that the largest is 100.

The 12 most intense peaks (2θ = 15–90°), most intense first:
27.69 deg, 3.221 Å, I = 100.0; 22.09 deg, 4.025 Å, I = 99.5; 26.65 deg, 3.345 Å, I = 68.2; 25.58 deg, 3.483 Å, I = 64.7; 45.28 deg, 2.003 Å, I = 61.5; 48.40 deg, 1.881 Å, I = 61.2; 18.90 deg, 4.695 Å, I = 54.6; 45.91 deg, 1.977 Å, I = 51.3; 48.78 deg, 1.867 Å, I = 50.3; 23.24 deg, 3.827 Å, I = 46.4; 23.50 deg, 3.786 Å, I = 45.7; 36.67 deg, 2.451 Å, I = 40.2

Crystal structure
```
LiMnF3
1.0
5.5654 0.0000 0.0000
0.0000 12.0162 0.0000
-1.7522 0.0000 7.5235
Li Mn F
8 8 24
direct
0.0387 0.1581 0.4849 Li
0.0387 0.3419 0.9849 Li
0.3817 0.0170 0.2821 Li
0.3817 0.4830 0.7821 Li
0.6183 0.5170 0.2179 Li
0.6183 0.9830 0.7179 Li
0.9613 0.6581 0.0151 Li
0.9613 0.8419 0.5151 Li
0.1816 0.0623 0.8792 Mn
0.1816 0.4377 0.3792 Mn
0.4125 0.7388 0.8871 Mn
0.4125 0.7612 0.3871 Mn
0.5875 0.2388 0.6129 Mn
0.5875 0.2612 0.1129 Mn
0.8184 0.5623 0.6208 Mn
0.8184 0.9377 0.1208 Mn
0.0847 0.0712 0.1356 F
0.0847 0.4288 0.6356 F
0.1351 0.6030 0.8401 F
0.1351 0.8970 0.3401 F
0.2509 0.2355 0.9187 F
0.2509 0.2645 0.4187 F
0.2684 0.7306 0.1180 F
0.2684 0.7694 0.6180 F
0.3564 0.0883 0.6351 F
0.3564 0.4117 0.1351 F
0.4336 0.5799 0.3872 F
0.4336 0.9201 0.8872 F
0.5664 0.0799 0.1128 F
0.5664 0.4201 0.6128 F
0.6436 0.5883 0.8649 F
0.6436 0.9117 0.3649 F
0.7316 0.2306 0.3820 F
0.7316 0.2694 0.8820 F
0.7491 0.7355 0.5813 F
0.7491 0.7645 0.0813 F
0.8649 0.1030 0.6599 F
0.8649 0.3970 0.1599 F
0.9153 0.5712 0.3644 F
0.9153 0.9288 0.8644 F
```

For LiMnF3, DFT lattice parameters and positions (GGA+U) gives the simulated X-ray powder pattern in this record (CuKα).
Intensities are scaled so that the largest is 100.

The 12 most intense peaks (2θ = 15–90°), most intense first:
19.83 deg, 4.478 Å, I = 100.0; 26.86 deg, 3.319 Å, I = 81.9; 43.28 deg, 2.091 Å, I = 67.6; 35.93 deg, 2.499 Å, I = 53.2; 23.00 deg, 3.867 Å, I = 30.9; 58.61 deg, 1.575 Å, I = 22.7; 24.91 deg, 3.575 Å, I = 18.2; 53.25 deg, 1.720 Å, I = 16.9; 56.31 deg, 1.634 Å, I = 16.4; 44.09 deg, 2.054 Å, I = 15.3; 20.34 deg, 4.366 Å, I = 13.6; 48.41 deg, 1.880 Å, I = 12.9

Crystal structure
```
LiMnF3
1.0
4.9427 -4.4826 0.0000
4.9427 4.4826 0.0000
-0.2240 0.0000 5.9255
Li Mn F
4 4 12
direct
0.1710 0.1710 0.6127 Li
0.1721 0.8279 0.0000 Li
0.8279 0.1721 0.0000 Li
0.8290 0.8290 0.3873 Li
0.2676 0.2676 0.1891 Mn
0.3107 0.6893 0.5000 Mn
0.6893 0.3107 0.5000 Mn
0.7324 0.7324 0.8109 Mn
0.0193 0.7252 0.6324 F
0.1283 0.1283 0.9170 F
0.2238 0.5824 0.1729 F
0.2748 0.9807 0.3676 F
0.3623 0.3623 0.5530 F
0.4176 0.7762 0.8271 F
0.5824 0.2238 0.1729 F
0.6377 0.6377 0.4470 F
0.7252 0.0193 0.6324 F
0.7762 0.4176 0.8271 F
0.8717 0.8717 0.0830 F
0.9807 0.2748 0.3676 F
```

For Li3MnF5, DFT lattice parameters and positions (GGA+U) gives the simulated X-ray powder pattern in this record (CuKα).
Intensities are scaled so that the largest is 100.

The 12 most intense peaks (2θ = 15–90°), most intense first:
21.47 deg, 4.139 Å, I = 100.0; 26.54 deg, 3.359 Å, I = 98.7; 18.81 deg, 4.717 Å, I = 81.5; 21.35 deg, 4.161 Å, I = 61.8; 33.82 deg, 2.650 Å, I = 53.2; 26.92 deg, 3.312 Å, I = 52.1; 31.86 deg, 2.809 Å, I = 51.6; 36.51 deg, 2.461 Å, I = 45.3; 42.62 deg, 2.121 Å, I = 40.4; 43.89 deg, 2.063 Å, I = 34.4; 55.51 deg, 1.655 Å, I = 34.4; 43.13 deg, 2.098 Å, I = 33.5

Crystal structure
```
Li3MnF5
1.0
10.6010 0.0000 0.0000
0.0000 6.6239 0.0000
0.0000 0.0000 6.7180
Li Mn F
12 4 20
direct
0.0452 0.2500 0.2373 Li
0.1729 0.5392 0.7691 Li
0.1729 0.9608 0.7691 Li
0.3271 0.0392 0.2691 Li
0.3271 0.4608 0.2691 Li
0.4548 0.7500 0.7373 Li
0.5452 0.2500 0.2627 Li
0.6729 0.5392 0.7309 Li
0.6729 0.9608 0.7309 Li
0.8271 0.0392 0.2309 Li
0.8271 0.4608 0.2309 Li
0.9548 0.7500 0.7627 Li
0.0792 0.7500 0.2664 Mn
0.4208 0.2500 0.7664 Mn
0.5792 0.7500 0.2336 Mn
0.9208 0.2500 0.7336 Mn
0.0960 0.7500 0.9498 F
0.0985 0.7500 0.5800 F
0.1185 0.2500 0.7600 F
0.1522 0.0347 0.2617 F
0.1522 0.4653 0.2617 F
0.3478 0.5347 0.7617 F
0.3478 0.9653 0.7617 F
0.3815 0.7500 0.2600 F
0.4015 0.2500 0.0800 F
0.4040 0.2500 0.4498 F
0.5960 0.7500 0.5502 F
0.5985 0.7500 0.9200 F
0.6185 0.2500 0.7400 F
0.6522 0.0347 0.2383 F
0.6522 0.4653 0.2383 F
0.8478 0.5347 0.7383 F
0.8478 0.9653 0.7383 F
0.8815 0.7500 0.2400 F
0.9015 0.2500 0.4200 F
0.9040 0.2500 0.0502 F
```

For LiMn2F9, DFT lattice parameters and positions (GGA+U) gives the simulated X-ray powder pattern in this record (CuKα).
Intensities are scaled so that the largest is 100.

The 12 most intense peaks (2θ = 15–90°), most intense first:
22.98 deg, 3.869 Å, I = 100.0; 23.40 deg, 3.801 Å, I = 66.4; 24.57 deg, 3.623 Å, I = 44.3; 20.73 deg, 4.285 Å, I = 36.1; 46.32 deg, 1.960 Å, I = 35.5; 18.86 deg, 4.705 Å, I = 34.2; 21.00 deg, 4.230 Å, I = 30.6; 31.68 deg, 2.824 Å, I = 24.6; 42.09 deg, 2.147 Å, I = 24.1; 32.25 deg, 2.776 Å, I = 22.0; 41.60 deg, 2.171 Å, I = 20.8; 53.22 deg, 1.721 Å, I = 20.2

Crystal structure
```
LiMn2F9
1.0
4.9232 0.0000 0.0000
-0.1287 8.5011 0.0000
-2.3286 -3.5041 7.7362
Li Mn F
2 4 18
direct
0.0372 0.1314 0.4219 Li
0.9628 0.8686 0.5781 Li
0.3056 0.7575 0.2407 Mn
0.3956 0.6697 0.7998 Mn
0.6044 0.3303 0.2002 Mn
0.6944 0.2425 0.7593 Mn
0.0406 0.3478 0.8924 F
0.0624 0.5531 0.6744 F
0.1974 0.9636 0.2572 F
0.2185 0.7756 0.4320 F
0.2668 0.8694 0.8137 F
0.3257 0.1399 0.6294 F
0.4058 0.7309 0.0318 F
0.4318 0.3253 0.3489 F
0.4420 0.5324 0.2045 F
0.5581 0.4676 0.7955 F
0.5682 0.6747 0.6511 F
0.5942 0.2691 0.9682 F
0.6743 0.8601 0.3706 F
0.7332 0.1306 0.1863 F
0.7815 0.2244 0.5680 F
0.8026 0.0364 0.7428 F
0.9376 0.4469 0.3256 F
0.9594 0.6522 0.1076 F
```

For LiMnF3, DFT lattice parameters and positions (GGA+U) gives the simulated X-ray powder pattern in this record (CuKα).
Intensities are scaled so that the largest is 100.

The 12 most intense peaks (2θ = 15–90°), most intense first:
21.59 deg, 4.117 Å, I = 100.0; 17.97 deg, 4.937 Å, I = 43.3; 38.71 deg, 2.326 Å, I = 23.5; 24.26 deg, 3.669 Å, I = 19.2; 55.87 deg, 1.646 Å, I = 17.0; 47.66 deg, 1.908 Å, I = 16.7; 36.40 deg, 2.468 Å, I = 16.7; 27.08 deg, 3.293 Å, I = 16.5; 37.25 deg, 2.414 Å, I = 13.9; 31.74 deg, 2.819 Å, I = 13.7; 63.76 deg, 1.460 Å, I = 12.5; 41.12 deg, 2.195 Å, I = 11.2

Crystal structure
```
LiMnF3
1.0
7.4597 4.3068 2.5512
-7.4597 4.3068 2.5512
0.0000 -8.6137 2.5512
Li Mn F
6 6 18
direct
0.2177 0.4156 0.5645 Li
0.4156 0.5645 0.2177 Li
0.4355 0.7823 0.5844 Li
0.5645 0.2177 0.4156 Li
0.5844 0.4355 0.7823 Li
0.7823 0.5844 0.4355 Li
0.0168 0.4939 0.1854 Mn
0.1854 0.0168 0.4939 Mn
0.4939 0.1854 0.0168 Mn
0.5061 0.8146 0.9832 Mn
0.8146 0.9832 0.5061 Mn
0.9832 0.5061 0.8146 Mn
0.0276 0.1410 0.4653 F
0.1410 0.4653 0.0276 F
0.1914 0.5847 0.7601 F
0.2096 0.4889 0.3952 F
0.2399 0.8086 0.4153 F
0.3952 0.2096 0.4889 F
0.4153 0.2399 0.8086 F
0.4653 0.0276 0.1410 F
0.4889 0.3952 0.2096 F
0.5111 0.6048 0.7904 F
0.5347 0.9724 0.8590 F
0.5847 0.7601 0.1914 F
0.6048 0.7904 0.5111 F
0.7601 0.1914 0.5847 F
0.7904 0.5111 0.6048 F
0.8086 0.4153 0.2399 F
0.8590 0.5347 0.9724 F
0.9724 0.8590 0.5347 F
```

For LiMn3F10, DFT lattice parameters and positions (GGA+U) gives the simulated X-ray powder pattern in this record (CuKα).
Intensities are scaled so that the largest is 100.

The 12 most intense peaks (2θ = 15–90°), most intense first:
15.30 deg, 5.792 Å, I = 100.0; 23.77 deg, 3.743 Å, I = 91.0; 28.51 deg, 3.131 Å, I = 33.7; 21.25 deg, 4.182 Å, I = 33.5; 41.73 deg, 2.164 Å, I = 31.7; 21.49 deg, 4.135 Å, I = 31.0; 19.88 deg, 4.466 Å, I = 29.4; 48.65 deg, 1.872 Å, I = 19.8; 29.38 deg, 3.040 Å, I = 15.4; 50.25 deg, 1.816 Å, I = 13.9; 60.03 deg, 1.541 Å, I = 12.5; 66.29 deg, 1.410 Å, I = 12.4

Crystal structure
```
LiMn3F10
1.0
6.1673 0.0000 0.0000
-0.2268 8.0727 0.0000
-3.0732 -3.4108 8.4582
Li Mn F
2 6 20
direct
0.1910 0.0210 0.3816 Li
0.8090 0.9790 0.6184 Li
0.2471 0.5024 0.0007 Mn
0.3144 0.4867 0.6299 Mn
0.4192 0.0106 0.8359 Mn
0.5808 0.9894 0.1641 Mn
0.6856 0.5133 0.3701 Mn
0.7529 0.4976 0.9993 Mn
0.0000 0.5000 0.5000 F
0.0019 0.6736 0.0451 F
0.1344 0.0273 0.7054 F
0.1558 0.4746 0.7875 F
0.2671 0.2425 0.5409 F
0.3011 0.9992 0.9990 F
0.3669 0.7347 0.7303 F
0.3685 0.5210 0.2114 F
0.4270 0.9717 0.2959 F
0.4972 0.3168 0.9534 F
0.5000 0.5000 0.5000 F
0.5028 0.6832 0.0466 F
0.5730 0.0283 0.7041 F
0.6315 0.4790 0.7886 F
0.6331 0.2653 0.2697 F
0.6989 0.0008 0.0010 F
0.7329 0.7575 0.4591 F
0.8442 0.5254 0.2125 F
0.8656 0.9727 0.2946 F
0.9981 0.3264 0.9549 F
```

For LiMn2F9, DFT lattice parameters and positions (GGA+U) gives the simulated X-ray powder pattern in this record (CuKα).
Intensities are scaled so that the largest is 100.

The 12 most intense peaks (2θ = 15–90°), most intense first:
19.83 deg, 4.477 Å, I = 100.0; 19.69 deg, 4.509 Å, I = 53.1; 24.51 deg, 3.632 Å, I = 13.3; 48.36 deg, 1.882 Å, I = 12.9; 20.69 deg, 4.294 Å, I = 11.7; 20.94 deg, 4.243 Å, I = 10.5; 27.73 deg, 3.217 Å, I = 6.9; 28.07 deg, 3.179 Å, I = 6.5; 35.31 deg, 2.542 Å, I = 6.3; 37.11 deg, 2.422 Å, I = 5.9; 23.05 deg, 3.859 Å, I = 5.3; 40.04 deg, 2.252 Å, I = 5.2

Crystal structure
```
LiMn2F9
1.0
5.2223 0.0000 0.0000
-2.5277 4.6134 0.0000
-0.9130 -1.0949 14.5284
Li Mn F
2 4 18
direct
0.0000 0.0000 0.0000 Li
0.1720 0.8086 0.4974 Li
0.1320 0.4601 0.6942 Mn
0.2787 0.6225 0.8780 Mn
0.6325 0.9557 0.1932 Mn
0.7954 0.0980 0.3772 Mn
0.0493 0.6718 0.6163 F
0.0902 0.3853 0.9650 F
0.1083 0.0986 0.4356 F
0.2492 0.3050 0.7995 F
0.2780 0.9299 0.9349 F
0.2980 0.6567 0.1513 F
0.3833 0.4321 0.6259 F
0.4318 0.8129 0.7695 F
0.4726 0.0660 0.2964 F
0.5597 0.9051 0.4637 F
0.5954 0.2003 0.1220 F
0.6388 0.7191 0.9279 F
0.6918 0.7535 0.2993 F
0.8358 0.1251 0.6525 F
0.8519 0.8811 0.1186 F
0.8882 0.4514 0.4266 F
0.9276 0.5147 0.7989 F
0.9851 0.2570 0.2695 F
```